Starting from a DFT-relaxed cell (PBE+U, Alexandria), the powder diffraction line list of AlV3Se2ClO8 was computed for Cu Kα (λ = 1.5418 Å).

Structure:
abc: 6.558 8.081 10.071
angles: 90.93 104.40 90.44
Element x y z (fractional)
Al 0.248 0.137 0.253
Al 0.752 0.863 0.747
V 0.000 0.000 0.000
V 0.000 0.000 0.500
V 0.283 0.776 0.250
V 0.500 0.000 0.000
V 0.500 0.000 0.500
V 0.717 0.224 0.750
Se 0.188 0.634 0.919
Se 0.304 0.632 0.575
Se 0.696 0.368 0.425
Se 0.812 0.366 0.081
Cl 0.318 0.152 0.666
Cl 0.682 0.848 0.334
O 0.025 0.216 0.128
O 0.108 0.762 0.586
O 0.180 0.610 0.086
O 0.198 0.978 0.361
O 0.294 0.604 0.406
O 0.295 0.996 0.121
O 0.402 0.757 0.926
O 0.467 0.224 0.376
O 0.533 0.776 0.624
O 0.598 0.243 0.074
O 0.705 0.004 0.879
O 0.706 0.396 0.594
O 0.802 0.022 0.639
O 0.820 0.390 0.914
O 0.892 0.238 0.414
O 0.975 0.784 0.872

Most intense lines, 15 to 90 degrees two-theta, low angle first:
- (1 -1 0), d = 5.023 Å, rel. 100
- (1 1 0), d = 4.964 Å, rel. 68
- (0 0 2), d = 4.877 Å, rel. 55
- (1 -2 0), d = 3.428 Å, rel. 80
- (1 2 0), d = 3.390 Å, rel. 58
- (1 0 -3), d = 3.239 Å, rel. 61
- (0 1 -3), d = 3.036 Å, rel. 53
- (0 1 3), d = 2.997 Å, rel. 50
- (-2 1 2), d = 2.835 Å, rel. 72
- (0 3 -2), d = 2.377 Å, rel. 34
- (2 2 1), d = 2.293 Å, rel. 53
- (2 4 -2), d = 1.681 Å, rel. 35